Record 1
# KCu2BiS3
Theoretical powder diffractogram, Cu Kα. Input: a DFT-relaxed cell (PBE, Alexandria).
Neutral-atom scattering factors, no anomalous dispersion.

Atomic structure:
```
data_KCu2BiS3
_space_group_name_H-M_alt 'P -1'
_space_group_IT_number 2
_space_group_name_Hall '-P 1'
_cell_length_a 6.5244
_cell_length_b 9.3641
_cell_length_c 10.5594
_cell_angle_alpha 89.80
_cell_angle_beta 89.49
_cell_angle_gamma 89.20
loop_
_atom_site_label
_atom_site_fract_x
_atom_site_fract_y
_atom_site_fract_z
K1 0.1986 0.0767 0.3638
K2 0.2948 0.9354 0.8762
Cu1 0.0105 0.6295 0.8285
Cu2 0.0805 0.6624 0.4566
Cu3 0.4219 0.3369 0.9658
Cu4 0.4754 0.2224 0.6353
Bi1 0.0316 0.6836 0.1499
Bi2 0.4712 0.5394 0.6526
S1 0.1243 0.4332 0.3612
S2 0.1336 0.1823 0.6560
S3 0.1560 0.2042 0.0531
S4 0.3394 0.5702 0.8857
S5 0.3482 0.7839 0.5512
S6 0.3861 0.8123 0.1697
```

Top 10 peaks for 10 to 80 degrees two-theta, in order of rising 2θ:
| 2theta | intensity |
| --- | --- |
| 12.63 | 61 |
| 18.60 | 50 |
| 27.34 | 67 |
| 28.71 | 79 |
| 28.91 | 100 |
| 29.10 | 48 |
| 29.88 | 87 |
| 30.38 | 56 |
| 30.53 | 81 |
| 31.91 | 59 |

***

Record 2
# MgMn2Ag
Theoretical powder diffractogram, Cu Kα. Input: a DFT-relaxed cell (PBE, Alexandria).
Neutral-atom scattering factors, no anomalous dispersion.

Atomic structure:
```
data_MgMn2Ag
_space_group_name_H-M_alt 'P 1 2/m 1'
_space_group_IT_number 10
_space_group_name_Hall '-P 2y'
_cell_length_a 2.8274
_cell_length_b 4.6299
_cell_length_c 5.2054
_cell_angle_alpha 90.00
_cell_angle_beta 99.38
_cell_angle_gamma 90.00
loop_
_atom_site_label
_atom_site_fract_x
_atom_site_fract_y
_atom_site_fract_z
Mg1 0.0000 0.0000 0.0000
Mn1 0.2671 0.5000 0.7476
Ag1 0.5000 0.0000 0.5000
```

Top 10 peaks for 10 to 80 degrees two-theta, in order of rising 2θ:
| 2theta | intensity |
| --- | --- |
| 17.27 | 50 |
| 25.91 | 36 |
| 38.90 | 52 |
| 39.18 | 51 |
| 39.31 | 100 |
| 40.16 | 94 |
| 56.40 | 33 |
| 70.51 | 16 |
| 70.72 | 16 |
| 71.30 | 15 |

***

Record 3
# Zr4O
Theoretical powder diffractogram, Cu Kα. Input: a DFT-relaxed cell (PBE, Alexandria).
Neutral-atom scattering factors, no anomalous dispersion.

Atomic structure:
```
data_Zr4O
_space_group_name_H-M_alt 'C m c e'
_space_group_IT_number 64
_space_group_name_Hall '-C 2ac 2'
_cell_length_a 6.5298
_cell_length_b 11.4021
_cell_length_c 5.1991
_cell_angle_alpha 90.00
_cell_angle_beta 90.00
_cell_angle_gamma 90.00
loop_
_atom_site_label
_atom_site_fract_x
_atom_site_fract_y
_atom_site_fract_z
Zr1 0.0000 0.1668 0.2465
Zr2 0.2500 0.0799 0.7500
O1 0.0000 0.0000 0.5000
```

Top 10 peaks for 10 to 80 degrees two-theta, in order of rising 2θ:
| 2theta | intensity |
| --- | --- |
| 31.58 | 22 |
| 34.50 | 35 |
| 35.93 | 55 |
| 36.10 | 100 |
| 47.47 | 19 |
| 55.99 | 20 |
| 62.75 | 10 |
| 62.86 | 19 |
| 67.45 | 19 |
| 68.67 | 15 |

***

Record 4
# SbOs2O8
Theoretical powder diffractogram, Cu Kα. Input: a DFT-relaxed cell (PBE, Alexandria).
Neutral-atom scattering factors, no anomalous dispersion.

Atomic structure:
```
data_SbOs2O8
_space_group_name_H-M_alt 'C 1 2/m 1'
_space_group_IT_number 12
_space_group_name_Hall '-C 2y'
_cell_length_a 9.7035
_cell_length_b 8.0915
_cell_length_c 5.4436
_cell_angle_alpha 90.00
_cell_angle_beta 94.92
_cell_angle_gamma 90.00
loop_
_atom_site_label
_atom_site_fract_x
_atom_site_fract_y
_atom_site_fract_z
Sb1 0.0000 0.0000 0.0000
Os1 0.2215 0.0000 0.6142
O1 0.1049 0.5000 0.2949
O2 0.1223 0.1533 0.7808
O3 0.1728 0.0000 0.2880
```

Top 10 peaks for 10 to 80 degrees two-theta, in order of rising 2θ:
| 2theta | intensity |
| --- | --- |
| 14.27 | 79 |
| 18.35 | 28 |
| 21.97 | 100 |
| 22.36 | 76 |
| 25.72 | 54 |
| 32.45 | 38 |
| 33.00 | 42 |
| 34.07 | 34 |
| 35.39 | 46 |
| 47.94 | 30 |

***

Record 5
# RbTl2SbO6
Theoretical powder diffractogram, Cu Kα. Input: a DFT-relaxed cell (PBE, Alexandria).
Neutral-atom scattering factors, no anomalous dispersion.

Atomic structure:
```
data_RbTl2SbO6
_space_group_name_H-M_alt 'R 3'
_space_group_IT_number 146
_space_group_name_Hall 'R 3'
_cell_length_a 5.8879
_cell_length_b 5.8879
_cell_length_c 15.8440
_cell_angle_alpha 90.00
_cell_angle_beta 90.00
_cell_angle_gamma 120.00
loop_
_atom_site_label
_atom_site_fract_x
_atom_site_fract_y
_atom_site_fract_z
Rb1 0.0000 0.0000 0.0000
Tl1 0.0000 0.0000 0.2627
Tl2 0.0000 0.0000 0.7779
Sb1 0.0000 0.0000 0.4675
O1 0.0322 0.3639 0.1985
O2 0.0452 0.5952 0.0499
```

Top 10 peaks for 10 to 80 degrees two-theta, in order of rising 2θ:
| 2theta | intensity |
| --- | --- |
| 20.72 | 48 |
| 28.54 | 96 |
| 30.36 | 100 |
| 42.15 | 37 |
| 46.18 | 39 |
| 52.83 | 37 |
| 53.95 | 26 |
| 61.31 | 19 |
| 63.17 | 14 |
| 70.74 | 15 |

***

Record 6
# NaOs4O12
Theoretical powder diffractogram, Cu Kα. Input: a DFT-relaxed cell (PBE, Alexandria).
Neutral-atom scattering factors, no anomalous dispersion.

Atomic structure:
```
data_NaOs4O12
_space_group_name_H-M_alt 'I m -3 m'
_space_group_IT_number 229
_space_group_name_Hall '-I 4 2 3'
_cell_length_a 7.5961
_cell_length_b 7.5961
_cell_length_c 7.5961
_cell_angle_alpha 90.00
_cell_angle_beta 90.00
_cell_angle_gamma 90.00
loop_
_atom_site_label
_atom_site_fract_x
_atom_site_fract_y
_atom_site_fract_z
Na1 0.0000 0.0000 0.0000
Os1 0.2500 0.2500 0.2500
O1 0.0000 0.2483 0.2483
```

Top 10 peaks for 10 to 80 degrees two-theta, in order of rising 2θ:
| 2theta | intensity |
| --- | --- |
| 16.50 | 1 |
| 23.42 | 100 |
| 33.36 | 64 |
| 41.17 | 14 |
| 47.90 | 21 |
| 53.98 | 41 |
| 59.63 | 26 |
| 70.07 | 13 |
| 75.02 | 19 |
| 79.86 | 11 |

***

Record 7
# Pm5GaPt2
Theoretical powder diffractogram, Cu Kα. Input: a DFT-relaxed cell (PBE, Alexandria).
Neutral-atom scattering factors, no anomalous dispersion.

Atomic structure:
```
data_Pm5GaPt2
_space_group_name_H-M_alt 'I 4/m c m'
_space_group_IT_number 140
_space_group_name_Hall '-I 4 2c'
_cell_length_a 7.9793
_cell_length_b 7.9793
_cell_length_c 13.4574
_cell_angle_alpha 90.00
_cell_angle_beta 90.00
_cell_angle_gamma 90.00
loop_
_atom_site_label
_atom_site_fract_x
_atom_site_fract_y
_atom_site_fract_z
Pm1 0.0000 0.0000 0.0000
Pm2 0.1620 0.3380 0.1419
Ga1 0.0000 0.0000 0.2500
Pt1 0.1331 0.3669 0.5000
```

Top 10 peaks for 10 to 80 degrees two-theta, in order of rising 2θ:
| 2theta | intensity |
| --- | --- |
| 13.16 | 24 |
| 32.05 | 100 |
| 34.88 | 15 |
| 35.58 | 44 |
| 40.21 | 9 |
| 42.05 | 16 |
| 51.42 | 10 |
| 54.76 | 10 |
| 66.45 | 16 |
| 66.84 | 10 |

***

Record 8
# AcZn2InRh
Theoretical powder diffractogram, Cu Kα. Input: a DFT-relaxed cell (PBE, Alexandria).
Neutral-atom scattering factors, no anomalous dispersion.

Atomic structure:
```
data_AcZn2InRh
_space_group_name_H-M_alt 'I m m 2'
_space_group_IT_number 44
_space_group_name_Hall 'I 2 -2'
_cell_length_a 4.2642
_cell_length_b 4.3022
_cell_length_c 12.0336
_cell_angle_alpha 90.00
_cell_angle_beta 90.00
_cell_angle_gamma 90.00
loop_
_atom_site_label
_atom_site_fract_x
_atom_site_fract_y
_atom_site_fract_z
Ac1 0.0000 0.0000 0.0000
Zn1 0.0000 0.0000 0.6143
Zn2 0.0000 0.5000 0.2654
In1 0.0000 0.5000 0.7586
Rh1 0.0000 0.0000 0.4017
```

Top 10 peaks for 10 to 80 degrees two-theta, in order of rising 2θ:
| 2theta | intensity |
| --- | --- |
| 29.49 | 14 |
| 30.47 | 25 |
| 30.60 | 28 |
| 33.11 | 100 |
| 42.00 | 22 |
| 42.39 | 27 |
| 43.11 | 37 |
| 61.21 | 14 |
| 61.80 | 12 |
| 62.02 | 13 |